(1)
# Ca2CdN2
Calculated PXRD pattern, Cu Kα. Input: a GGA-PBE-relaxed structure.

Cell and atoms:
```
data_Ca2CdN2
_chemical_formula_sum 'Ca4 Cd2 N4'
_space_group_name_H-M_alt 'I 4/m m m'
_space_group_IT_number 139
_space_group_name_Hall '-I 4 2'
_cell_length_a 3.603
_cell_length_b 3.603
_cell_length_c 13.565
_cell_angle_alpha 90.00
_cell_angle_beta 90.00
_cell_angle_gamma 90.00
loop_
_atom_site_label
_atom_site_type_symbol
_atom_site_fract_x
_atom_site_fract_y
_atom_site_fract_z
Ca1 Ca 0.000 0.000 0.170
Cd1 Cd 0.000 0.000 0.500
N1 N 0.000 0.000 0.346
```

Most intense lines, 15° ≤ 2θ ≤ 90°, low angle first:
2theta	intensity	index
25.58	475	1 0 1
31.76	1000	1 0 3
35.23	649	1 1 0
39.87	217	0 0 6
50.67	209	2 0 0
54.25	325	1 1 6
61.05	294	2 1 3
66.35	167	2 0 6
67.34	113	1 0 9
88.92	108	2 1 9

***

(2)
# CaNdCd2
Calculated PXRD pattern, Cu Kα. Input: a GGA-PBE-relaxed structure.

Cell and atoms:
```
data_CaNdCd2
_chemical_formula_sum 'Ca4 Nd4 Cd8'
_space_group_name_H-M_alt 'F m -3 m'
_space_group_IT_number 225
_space_group_name_Hall '-F 4 2 3'
_cell_length_a 7.702
_cell_length_b 7.702
_cell_length_c 7.702
_cell_angle_alpha 90.00
_cell_angle_beta 90.00
_cell_angle_gamma 90.00
loop_
_atom_site_label
_atom_site_type_symbol
_atom_site_fract_x
_atom_site_fract_y
_atom_site_fract_z
Ca1 Ca 0.000 0.000 0.000
Nd1 Nd 0.000 0.000 0.500
Cd1 Cd 0.250 0.250 0.250
```

Most intense lines, 15° ≤ 2θ ≤ 90°, low angle first:
2theta	intensity	index
19.97	134	1 1 1
32.89	1000	2 2 0
38.78	77	3 1 1
47.20	177	4 0 0
51.74	35	3 3 1
58.73	361	4 2 2
62.68	27	5 1 1
68.97	110	4 4 0
78.55	151	6 2 0
87.81	39	4 4 4